Computed PXRD pattern of La3Au2 for copper Kα, from DFT lattice parameters and positions (PBE).
Peak positions follow from Bragg's law for the DFT cell and can differ from measured ones.

Largest 6 diffraction maxima, most intense first, 2θ from 10° to 90°:
| Position (°2θ) | I_rel |
| --- | --- |
| 32.3 | 100 |
| 33.0 | 45 |
| 57.2 | 19 |
| 62.8 | 17 |
| 30.6 | 14 |
| 45.3 | 13 |

Structural model:
```
data_La3Au2
_chemical_formula_sum 'La6 Au4'
_symmetry_space_group_name_H-M 'P 1'
_symmetry_Int_Tables_number 1
_cell_length_a 8.5713
_cell_length_b 8.5713
_cell_length_c 4.0020
_cell_angle_alpha 90.00
_cell_angle_beta 90.00
_cell_angle_gamma 90.00
loop_
_symmetry_equiv_pos_as_xyz
'x,y,z'
loop_
_atom_site_label
_atom_site_fract_x
_atom_site_fract_y
_atom_site_fract_z
_atom_site_occupancy
La1 0.0000 0.0000 0.0000 1
La2 0.1639 0.3361 0.5000 1
La3 0.3361 0.8361 0.5000 1
La4 0.5000 0.5000 0.0000 1
La5 0.6639 0.1639 0.5000 1
La6 0.8361 0.6639 0.5000 1
Au1 0.1288 0.6288 0.0000 1
Au2 0.3712 0.1288 0.0000 1
Au3 0.6288 0.8712 0.0000 1
Au4 0.8712 0.3712 0.0000 1
```